Structure and simulated powder diffractogram of BaSb4Au (the PBE geometry in Alexandria; copper Kα).
Kinematic intensities with the Lorentz-polarization factor, no thermal factor.

Structure:
Unit cell a=11.9219 b=11.9219 c=5.9330 alpha=104.36 beta=104.36 gamma=138.26
Sites, in units of the cell vectors:
Ba (0.1242, 0.8758, 0.7500)
Ba (0.8758, 0.1242, 0.2500)
Sb (0.2078, 0.6632, 0.4404)
Sb (0.2193, 0.2657, 0.9661)
Sb (0.2657, 0.2193, 0.4661)
Sb (0.3368, 0.7922, 0.0596)
Sb (0.6632, 0.2078, 0.9404)
Sb (0.7343, 0.7807, 0.5339)
Sb (0.7807, 0.7343, 0.0339)
Sb (0.7922, 0.3368, 0.5596)
Au (0.3747, 0.6253, 0.2500)
Au (0.6253, 0.3747, 0.7500)

Main lines, most intense first (2θ = 15–90°):
2θ/deg, d/Å, intensity
22.38, 3.973, 100
31.20, 2.867, 43
30.40, 2.940, 34
45.62, 1.989, 32
45.74, 1.984, 31
32.02, 2.795, 29
32.14, 2.785, 27
33.51, 2.674, 26
38.89, 2.316, 26
31.96, 2.800, 23
34.25, 2.618, 19
49.11, 1.855, 18

***

Structure and simulated powder diffractogram of Ba2SbAu3 (the PBE geometry in Alexandria; copper Kα).
Kinematic intensities with the Lorentz-polarization factor, no thermal factor.

Structure:
Unit cell a=9.8010 b=9.6045 c=6.6153 alpha=71.68 beta=68.48 gamma=39.85
Sites, in units of the cell vectors:
Ba (0.2362, 0.7638, 0.7638)
Ba (0.2500, 0.2500, 0.2500)
Ba (0.7500, 0.7500, 0.7500)
Ba (0.7638, 0.2362, 0.2362)
Sb (0.3352, 0.3352, 0.6648)
Sb (0.6648, 0.6648, 0.3352)
Au (0.1676, 0.1676, 0.8324)
Au (0.1680, 0.6661, 0.3339)
Au (0.3339, 0.8320, 0.1680)
Au (0.6661, 0.1680, 0.8320)
Au (0.8320, 0.3339, 0.6661)
Au (0.8324, 0.8324, 0.1676)

Main lines, most intense first (2θ = 15–90°):
2θ/deg, d/Å, intensity
29.04, 3.075, 100
36.68, 2.450, 45
55.67, 1.651, 27
36.86, 2.439, 22
19.87, 4.469, 22
47.56, 1.912, 17
40.36, 2.235, 17
42.05, 2.149, 13
55.80, 1.648, 13
80.55, 1.193, 9
66.53, 1.405, 9
47.36, 1.919, 9

***

Structure and simulated powder diffractogram of BaSb2Au3 (the PBE geometry in Alexandria; copper Kα).
Kinematic intensities with the Lorentz-polarization factor, no thermal factor.

Structure:
Unit cell a=9.0161 b=9.0161 c=8.0685 alpha=112.72 beta=112.72 gamma=32.43
Sites, in units of the cell vectors:
Ba (0.1531, 0.1531, 0.0996)
Ba (0.8469, 0.8469, 0.9004)
Sb (0.1690, 0.1690, 0.6543)
Sb (0.4801, 0.4801, 0.8043)
Sb (0.5199, 0.5199, 0.1957)
Sb (0.8310, 0.8310, 0.3457)
Au (0.0186, 0.0186, 0.3396)
Au (0.3066, 0.3066, 0.5655)
Au (0.3689, 0.3689, 0.2528)
Au (0.6311, 0.6311, 0.7472)
Au (0.6934, 0.6934, 0.4345)
Au (0.9814, 0.9814, 0.6604)

Main lines, most intense first (2θ = 15–90°):
2θ/deg, d/Å, intensity
33.95, 2.640, 100
35.66, 2.518, 67
30.20, 2.959, 63
28.65, 3.116, 41
40.42, 2.232, 29
43.29, 2.090, 28
50.04, 1.823, 22
33.48, 2.676, 22
61.72, 1.503, 20
24.07, 3.697, 19
55.44, 1.657, 15
60.70, 1.526, 15

***

Structure and simulated powder diffractogram of Ba2Sb7Au12 (the PBE geometry in Alexandria; copper Kα).
Kinematic intensities with the Lorentz-polarization factor, no thermal factor.

Structure:
Unit cell a=4.9781 b=10.9642 c=10.9784 alpha=60.12 beta=87.69 gamma=83.30
Sites, in units of the cell vectors:
Ba (0.2448, 0.1456, 0.1831)
Ba (0.7552, 0.8544, 0.8169)
Sb (0.0000, 0.5000, 0.5000)
Sb (0.1697, 0.1335, 0.7618)
Sb (0.2539, 0.6310, 0.0851)
Sb (0.2926, 0.7833, 0.5643)
Sb (0.7074, 0.2167, 0.4357)
Sb (0.7461, 0.3690, 0.9149)
Sb (0.8303, 0.8665, 0.2382)
Au (0.1783, 0.3670, 0.3306)
Au (0.2384, 0.0459, 0.5527)
Au (0.2525, 0.3766, 0.7924)
Au (0.2819, 0.9109, 0.0310)
Au (0.3232, 0.6043, 0.8541)
Au (0.3675, 0.7204, 0.3486)
Au (0.6325, 0.2796, 0.6514)
Au (0.6768, 0.3957, 0.1459)
Au (0.7181, 0.0891, 0.9690)
Au (0.7475, 0.6234, 0.2076)
Au (0.7616, 0.9541, 0.4473)
Au (0.8217, 0.6330, 0.6694)

Main lines, most intense first (2θ = 15–90°):
2θ/deg, d/Å, intensity
31.64, 2.828, 100
36.35, 2.472, 52
40.67, 2.219, 48
41.78, 2.162, 45
29.10, 3.069, 39
29.88, 2.990, 38
32.67, 2.741, 35
16.16, 5.484, 34
29.21, 3.057, 25
43.86, 2.064, 23
41.47, 2.178, 21
36.54, 2.459, 20

***

Structure and simulated powder diffractogram of BaSb2AuSe4 (the PBE geometry in Alexandria; copper Kα).
Kinematic intensities with the Lorentz-polarization factor, no thermal factor.

Structure:
Unit cell a=7.0558 b=7.0558 c=14.8862 alpha=90.00 beta=90.00 gamma=141.86
Sites, in units of the cell vectors:
Ba (0.1380, 0.8620, 0.7500)
Ba (0.8620, 0.1380, 0.2500)
Sb (0.3760, 0.6240, 0.5459)
Sb (0.3760, 0.6240, 0.9541)
Sb (0.6240, 0.3760, 0.0459)
Sb (0.6240, 0.3760, 0.4541)
Au (0.1214, 0.8786, 0.2500)
Au (0.8786, 0.1214, 0.7500)
Se (0.0000, 0.0000, 0.0000)
Se (0.0000, 0.0000, 0.5000)
Se (0.2670, 0.7330, 0.1066)
Se (0.2670, 0.7330, 0.3934)
Se (0.4516, 0.5484, 0.7500)
Se (0.5484, 0.4516, 0.2500)
Se (0.7330, 0.2670, 0.6066)
Se (0.7330, 0.2670, 0.8934)

Main lines, most intense first (2θ = 15–90°):
2θ/deg, d/Å, intensity
30.40, 2.940, 100
39.07, 2.305, 37
36.18, 2.483, 35
23.91, 3.722, 33
23.66, 3.761, 33
40.93, 2.205, 29
54.30, 1.690, 29
27.44, 3.251, 25
33.31, 2.690, 24
46.31, 1.960, 22
32.95, 2.719, 19
53.51, 1.712, 16

***

Structure and simulated powder diffractogram of BaSb2Te2Au6 (the PBE geometry in Alexandria; copper Kα).
Kinematic intensities with the Lorentz-polarization factor, no thermal factor.

Structure:
Unit cell a=6.6095 b=7.0635 c=7.4714 alpha=74.70 beta=83.67 gamma=73.89
Sites, in units of the cell vectors:
Ba (0.0000, 0.0000, 0.0000)
Sb (0.4333, 0.2491, 0.0294)
Sb (0.5667, 0.7509, 0.9706)
Te (0.2454, 0.7594, 0.4912)
Te (0.7546, 0.2406, 0.5088)
Au (0.1116, 0.4629, 0.8215)
Au (0.1618, 0.1713, 0.3412)
Au (0.3229, 0.5258, 0.2419)
Au (0.6771, 0.4742, 0.7581)
Au (0.8382, 0.8287, 0.6588)
Au (0.8884, 0.5371, 0.1785)

Main lines, most intense first (2θ = 15–90°):
2θ/deg, d/Å, intensity
25.13, 3.544, 100
18.29, 4.852, 86
32.37, 2.766, 79
30.33, 2.947, 72
41.19, 2.191, 63
44.71, 2.027, 62
32.57, 2.749, 54
26.52, 3.361, 43
37.01, 2.429, 42
37.44, 2.402, 39
32.79, 2.731, 39
33.19, 2.699, 37

***

Structure and simulated powder diffractogram of Ba2Zn3SbAu12 (the PBE geometry in Alexandria; copper Kα).
Kinematic intensities with the Lorentz-polarization factor, no thermal factor.

Structure:
Unit cell a=10.3834 b=10.3834 c=10.3834 alpha=40.38 beta=40.38 gamma=40.38
Sites, in units of the cell vectors:
Ba (0.1483, 0.1483, 0.1483)
Ba (0.8517, 0.8517, 0.8517)
Zn (0.0000, 0.5000, 0.5000)
Zn (0.5000, 0.0000, 0.5000)
Zn (0.5000, 0.5000, 0.0000)
Sb (0.5000, 0.5000, 0.5000)
Au (0.0903, 0.0903, 0.6898)
Au (0.0903, 0.6898, 0.0903)
Au (0.1311, 0.5764, 0.5764)
Au (0.3102, 0.9097, 0.9097)
Au (0.4236, 0.4236, 0.8689)
Au (0.4236, 0.8689, 0.4236)
Au (0.5764, 0.1311, 0.5764)
Au (0.5764, 0.5764, 0.1311)
Au (0.6898, 0.0903, 0.0903)
Au (0.8689, 0.4236, 0.4236)
Au (0.9097, 0.3102, 0.9097)
Au (0.9097, 0.9097, 0.3102)

Main lines, most intense first (2θ = 15–90°):
2θ/deg, d/Å, intensity
31.43, 2.847, 100
50.95, 1.792, 60
38.43, 2.342, 48
38.90, 2.315, 43
47.94, 1.898, 35
45.54, 1.992, 33
37.54, 2.396, 33
26.58, 3.354, 31
31.24, 2.863, 24
29.45, 3.033, 22
43.03, 2.102, 22
34.56, 2.595, 22

***

Structure and simulated powder diffractogram of BaScAu2 (the PBE geometry in Alexandria; copper Kα).
Kinematic intensities with the Lorentz-polarization factor, no thermal factor.

Structure:
Unit cell a=6.3706 b=6.3706 c=6.3706 alpha=44.40 beta=44.40 gamma=44.40
Sites, in units of the cell vectors:
Ba (0.0000, 0.0000, 0.0000)
Sc (0.5000, 0.5000, 0.5000)
Au (0.2007, 0.2007, 0.2007)
Au (0.7993, 0.7993, 0.7993)

Main lines, most intense first (2θ = 15–90°):
2θ/deg, d/Å, intensity
37.36, 2.407, 100
33.78, 2.653, 93
29.85, 2.993, 52
21.94, 4.052, 50
15.46, 5.732, 45
58.02, 1.590, 33
65.11, 1.433, 30
51.24, 1.783, 29
40.65, 2.219, 26
49.45, 1.843, 22
71.06, 1.327, 21
83.14, 1.162, 21